1.
Starting from a cell relaxed with PBE, the powder diffractogram of BaNd4In5 was calculated for Cu Kα (λ = 1.5418 Å).
Intensities are scaled so that the largest is 100.

Crystal structure
a = 3.946 Å, b = 3.946 Å, c = 19.835 Å
α = 90.00°, β = 90.00°, γ = 90.00°
Element x y z (fractional)
Ba  0.000  0.000  0.000
Nd  0.000  0.000  0.213
Nd  0.000  0.000  0.405
Nd  0.000  0.000  0.595
Nd  0.000  0.000  0.787
In  0.500  0.500  0.122
In  0.500  0.500  0.310
In  0.500  0.500  0.500
In  0.500  0.500  0.690
In  0.500  0.500  0.878

The 10 most intense peaks (10° ≤ 2θ ≤ 90°), in order of rising 2θ:
| 2θ (°) | Rel. int. | (hkl) |
| --- | --- | --- |
| 32.02 | 100.0 | 1 1 0 |
| 35.42 | 5.8 | 1 0 6 |
| 45.74 | 3.7 | 0 0 10 |
| 46.00 | 13.3 | 2 0 0 |
| 56.96 | 7.8 | 1 1 10 |
| 57.13 | 23.8 | 2 1 5 |
| 61.20 | 3.7 | 1 1 11 |
| 66.89 | 4.7 | 2 0 10 |
| 67.09 | 4.2 | 2 2 0 |
| 76.30 | 10.9 | 3 1 0 |

=====

2.
Starting from a cell relaxed with PBE, the powder diffractogram of BaIn6Ni was calculated for Cu Kα (λ = 1.5418 Å).
Intensities are scaled so that the largest is 100.

Crystal structure
a = 4.791 Å, b = 4.791 Å, c = 9.303 Å
α = 90.00°, β = 90.00°, γ = 90.00°
Element x y z (fractional)
Ba  0.000  0.000  0.000
In  0.000  0.500  0.343
In  0.000  0.500  0.657
In  0.500  0.000  0.343
In  0.500  0.000  0.657
In  0.500  0.500  0.152
In  0.500  0.500  0.848
Ni  0.000  0.000  0.500

The 10 most intense peaks (10° ≤ 2θ ≤ 90°), in order of rising 2θ:
| 2θ (°) | Rel. int. | (hkl) |
| --- | --- | --- |
| 26.71 | 40.7 | 1 0 2 |
| 28.03 | 100.0 | 1 1 1 |
| 32.70 | 28.9 | 1 1 2 |
| 34.45 | 23.3 | 1 0 3 |
| 37.55 | 87.6 | 2 0 0 |
| 39.39 | 72.6 | 1 1 3 |
| 43.25 | 22.0 | 1 0 4 |
| 54.15 | 29.4 | 2 2 0 |
| 68.99 | 25.9 | 3 1 3 |
| 72.63 | 20.6 | 2 0 6 |

=====

3.
Starting from a cell relaxed with PBE, the powder diffractogram of BaInO3 was calculated for Cu Kα (λ = 1.5418 Å).
Intensities are scaled so that the largest is 100.

Crystal structure
a = 4.292 Å, b = 4.292 Å, c = 4.292 Å
α = 90.00°, β = 90.00°, γ = 90.00°
Element x y z (fractional)
Ba  0.000  0.000  0.000
In  0.500  0.500  0.500
O  0.000  0.500  0.500
O  0.500  0.000  0.500
O  0.500  0.500  0.000

The 9 most intense peaks (10° ≤ 2θ ≤ 90°), in order of rising 2θ:
| 2θ (°) | Rel. int. | (hkl) |
| --- | --- | --- |
| 29.43 | 100.0 | 1 1 0 |
| 36.25 | 2.9 | 1 1 1 |
| 42.11 | 30.6 | 2 0 0 |
| 52.20 | 40.3 | 2 1 1 |
| 61.06 | 19.0 | 2 2 0 |
| 69.22 | 17.5 | 3 1 0 |
| 73.13 | 0.8 | 3 1 1 |
| 76.95 | 6.3 | 2 2 2 |
| 84.45 | 21.0 | 3 2 1 |